Na3NpSc2O6: computed X-ray powder pattern (a wavelength of 1.5418 Å), based on a DFT-relaxed cell (GGA-PBE, Alexandria).
No peak broadening, texture or thermal motion is included.

Top 6 peaks for 10 to 90 degrees two-theta, sorted by position:
h k l  d_spacing  Position (°2θ)  I (rel.)
0 0 1  5.567  15.92  95
1 1 0  4.737  18.73  51
1 1 -1  4.246  20.92  42
2 0 -1  2.811  31.84  39
2 0 0  2.698  33.20  54
1 3 1  2.355  38.22  100

Structure:
```
data_Na3NpSc2O6
_cell_length_a 5.6996
_cell_length_b 9.8817
_cell_length_c 5.8777
_cell_angle_alpha 90.00
_cell_angle_beta 108.72
_cell_angle_gamma 90.00
_symmetry_space_group_name_H-M 'C 1 2/m 1'
_symmetry_Int_Tables_number 12
_symmetry_space_group_name_Hall '-C 2y'
loop_
_atom_site_label
_atom_site_fract_x
_atom_site_fract_y
_atom_site_fract_z
_atom_site_occupancy
Na1 0.0000 0.0000 0.0000 1
Na2 0.0000 0.3277 0.0000 1
Np1 0.0000 0.5000 0.5000 1
Sc1 0.0000 0.1664 0.5000 1
O1 0.2195 0.0000 0.7098 1
O2 0.2438 0.3251 0.7080 1
```